Calculated powder XRD pattern of Al2O3 for λ = 1.5418 Å (Cu Kα), from a DFT-relaxed cell (GGA-PBE, the Materials Project).

Most intense lines, 10° ≤ 2θ ≤ 90°, in order of rising 2θ:
2theta, I/Imax
18.3, 100
19.4, 54
20.1, 50
35.9, 93
43.6, 61
44.8, 81
66.4, 89
66.8, 59

Cell and atoms:
Cell lengths 5.6016, 5.6335, 9.3827 Å; angles 92.28, 99.58, 119.75 degrees
Space group P1 (No. 1)
One atom of each set of equivalent atoms:
Al 0.0000 0.0000 0.0000
Al 0.0044 0.5166 0.0034
Al 0.0637 0.2572 0.7373
Al 0.1392 0.5505 0.5088
Al 0.2551 0.3388 0.3011
Al 0.4229 0.9540 0.8105
Al 0.5147 0.5223 0.0058
Al 0.5900 0.0845 0.1948
Al 0.5953 0.0355 0.4927
Al 0.6952 0.6014 0.6748
O 0.2123 0.3629 0.1060
O 0.2183 0.8719 0.0938
O 0.2670 0.6100 0.8701
O 0.2697 0.1504 0.8688
O 0.3248 0.4125 0.6228
O 0.3290 0.8990 0.6139
O 0.3874 0.6851 0.3838
O 0.4565 0.1845 0.3490
O 0.7139 0.8780 0.1033
O 0.7186 0.3845 0.1016
O 0.7844 0.6454 0.8757
O 0.8073 0.1572 0.8702
O 0.8217 0.9301 0.6177
O 0.8437 0.4032 0.6095
O 0.9245 0.2286 0.3613